No. 1
Starting from a GGA-PBE-relaxed structure, the X-ray diffraction stick pattern of Pm2Nd7 was computed for Cu Kα, 1.54184 Å.

Cell and atoms:
Cell lengths 6.3742, 6.3742, 8.9721 Å; angles 90.00, 90.00, 120.00 degrees
Fractional positions:
Pm: 0.3333 0.6667 0.0000
Pm: 0.6667 0.3333 0.0000
Nd: 0.0000 0.0000 0.0000
Nd: 0.0000 0.3335 0.6674
Nd: 0.0000 0.6665 0.3326
Nd: 0.3335 0.0000 0.6674
Nd: 0.3335 0.3335 0.3326
Nd: 0.6665 0.0000 0.3326
Nd: 0.6665 0.6665 0.6674

Largest 10 diffraction maxima, by intensity, 2θ from 10° to 80°:
2θ (°), d [Å], I (rel.)
29.75, 3.003, 100
34.52, 2.598, 67
58.91, 1.568, 43
29.88, 2.991, 33
49.54, 1.840, 24
49.70, 1.834, 24
59.08, 1.564, 14
61.78, 1.502, 13
72.80, 1.299, 8
62.07, 1.495, 4


No. 2
Starting from a GGA-PBE-relaxed structure, the X-ray diffraction stick pattern of Pm7Nd6 was computed for Cu Kα, 1.54184 Å.

Cell and atoms:
Cell lengths 12.2681, 12.2681, 12.2681 Å; angles 31.90, 31.90, 31.90 degrees
Fractional positions:
Pm: 0.0000 0.0000 0.0000
Pm: 0.0909 0.0909 0.5768
Pm: 0.0909 0.5768 0.0909
Pm: 0.4232 0.9091 0.9091
Pm: 0.5768 0.0909 0.0909
Pm: 0.9091 0.4232 0.9091
Pm: 0.9091 0.9091 0.4232
Nd: 0.1647 0.1647 0.1647
Nd: 0.3503 0.3503 0.3503
Nd: 0.4536 0.4536 0.4536
Nd: 0.5464 0.5464 0.5464
Nd: 0.6497 0.6497 0.6497
Nd: 0.8353 0.8353 0.8353

Largest 10 diffraction maxima, by intensity, 2θ from 10° to 80°:
2θ (°), d [Å], I (rel.)
30.69, 2.914, 100
33.26, 2.694, 31
32.11, 2.788, 30
26.44, 3.371, 27
29.82, 2.996, 25
54.43, 1.686, 25
54.63, 1.680, 19
50.36, 1.812, 18
35.63, 2.520, 18
49.37, 1.846, 15


No. 3
Starting from a GGA-PBE-relaxed structure, the X-ray diffraction stick pattern of Pm3Nd4 was computed for Cu Kα, 1.54184 Å.

Cell and atoms:
Cell lengths 6.3543, 6.3543, 8.2107 Å; angles 97.36, 97.36, 48.18 degrees
Fractional positions:
Pm: 0.0000 0.0000 0.0000
Pm: 0.2856 0.2856 0.8579
Pm: 0.7144 0.7144 0.1421
Nd: 0.1430 0.1430 0.4282
Nd: 0.4287 0.4287 0.2846
Nd: 0.5713 0.5713 0.7154
Nd: 0.8570 0.8570 0.5718

Largest 6 diffraction maxima, by intensity, 2θ from 10° to 80°:
2θ (°), d [Å], I (rel.)
29.82, 2.996, 100
34.57, 2.595, 51
59.03, 1.565, 43
49.69, 1.835, 36
61.94, 1.498, 12
72.91, 1.297, 6


No. 4
Starting from a GGA-PBE-relaxed structure, the X-ray diffraction stick pattern of Pm13Nd2 was computed for Cu Kα, 1.54184 Å.

Cell and atoms:
Cell lengths 6.8301, 8.9496, 9.2386 Å; angles 68.93, 82.77, 80.18 degrees
Fractional positions:
Pm: 0.0000 0.0000 0.0000
Pm: 0.0970 0.4213 0.6932
Pm: 0.1338 0.1973 0.2674
Pm: 0.2368 0.5780 0.9740
Pm: 0.3336 0.9999 0.6671
Pm: 0.4298 0.4217 0.3591
Pm: 0.4676 0.1970 0.9350
Pm: 0.5324 0.8030 0.0650
Pm: 0.5702 0.5783 0.6409
Pm: 0.6664 0.0001 0.3329
Pm: 0.7632 0.4220 0.0260
Pm: 0.8662 0.8027 0.7326
Pm: 0.9030 0.5787 0.3068
Nd: 0.1995 0.8032 0.3987
Nd: 0.8005 0.1968 0.6013

Largest 10 diffraction maxima, by intensity, 2θ from 10° to 80°:
2θ (°), d [Å], I (rel.)
31.10, 2.876, 100
31.21, 2.866, 97
30.78, 2.905, 54
29.68, 3.010, 40
54.97, 1.670, 40
60.81, 1.523, 30
43.29, 2.090, 29
56.34, 1.633, 22
45.96, 1.975, 20
60.62, 1.528, 16


No. 5
Starting from a GGA-PBE-relaxed structure, the X-ray diffraction stick pattern of Pm5Nd6 was computed for Cu Kα, 1.54184 Å.

Cell and atoms:
Cell lengths 9.5529, 9.5529, 5.7259 Å; angles 107.41, 107.41, 115.86 degrees
Fractional positions:
Pm: 0.0000 0.0000 0.0000
Pm: 0.1604 0.8396 0.5000
Pm: 0.2992 0.7008 0.0000
Pm: 0.7008 0.2992 0.0000
Pm: 0.8396 0.1604 0.5000
Nd: 0.1570 0.4316 0.2944
Nd: 0.2938 0.2938 0.7939
Nd: 0.4316 0.1570 0.2944
Nd: 0.5684 0.8430 0.7056
Nd: 0.7062 0.7062 0.2061
Nd: 0.8430 0.5684 0.7056

Largest 10 diffraction maxima, by intensity, 2θ from 10° to 80°:
2θ (°), d [Å], I (rel.)
31.22, 2.865, 100
29.04, 3.075, 22
31.75, 2.819, 11
33.20, 2.698, 10
55.55, 1.654, 10
54.26, 1.691, 9
32.53, 2.753, 9
61.29, 1.513, 9
62.09, 1.495, 9
55.61, 1.653, 9


No. 6
Starting from a GGA-PBE-relaxed structure, the X-ray diffraction stick pattern of Pm2Nd was computed for Cu Kα, 1.54184 Å.

Cell and atoms:
Cell lengths 17.9540, 17.9540, 17.9540 Å; angles 11.74, 11.74, 11.74 degrees
Fractional positions:
Pm: 0.1389 0.1389 0.1389
Pm: 0.3057 0.3057 0.3057
Pm: 0.6943 0.6943 0.6943
Pm: 0.8611 0.8611 0.8611
Nd: 0.4167 0.4167 0.4167
Nd: 0.5833 0.5833 0.5833

Largest 10 diffraction maxima, by intensity, 2θ from 10° to 80°:
2θ (°), d [Å], I (rel.)
30.43, 2.937, 100
33.66, 2.662, 77
30.07, 2.971, 50
59.13, 1.562, 44
49.63, 1.837, 37
28.84, 3.095, 30
51.47, 1.775, 23
57.78, 1.596, 17
36.76, 2.445, 15
59.34, 1.557, 15